# LiCaFeF6
Computed powder XRD pattern, Cu Kα X-rays. Input: a structure optimized by DFT (GGA+U).
Kinematic intensities with the Lorentz-polarization factor, no thermal factor.

Structure:
abc: 5.2019 5.2019 9.9098
angles: 90.00 90.00 120.00
Space group P-31c (No. 163)
Unique sites:
Li (0.3333, 0.6667, 0.2500) [2 per cell]
Ca (0.0000, 0.0000, 0.0000) [2 per cell]
Fe (0.3333, 0.6667, 0.7500) [2 per cell]
F (0.0142, 0.3617, 0.8606) [12 per cell]

Main lines, in order of rising 2θ (2θ from 5° to 70°):
two_theta	I (rel.)	index
17.90	15	0 0 2
21.67	76	1 0 1
26.75	100	1 0 2
33.64	18	1 0 3
34.48	10	1 1 0
39.12	57	2 -1 2
41.09	8	2 0 1
44.17	21	2 0 2
50.90	67	2 -1 4
57.21	21	3 -1 2
61.78	28	3 0 0
67.13	8	1 1 6